This entry pairs a crystal structure of TbPmDy2Th with its computed powder diffraction line list. Radiation: CuKα. Structure: DFT lattice parameters and positions (PBE).
Neutral-atom scattering factors, no anomalous dispersion.

Principal peaks in the range 2θ = 15–90°, by angle:
3.518 Å, rel. 37, (1 3 1); 3.008 Å, rel. 100, (2 2 0); 2.996 Å, rel. 99, (0 2 2); 2.771 Å, rel. 32, (0 6 0); 2.685 Å, rel. 93, (1 5 1); 2.549 Å, rel. 40, (2 4 0); 2.542 Å, rel. 37, (0 4 2); 2.276 Å, rel. 88, (2 0 2); 1.759 Å, rel. 34, (2 6 2); 1.477 Å, rel. 32, (2 10 0)

Cell and atoms:
Unit cell a=6.4528 b=16.6263 c=6.4241 alpha=90.00 beta=90.00 gamma=90.00
Space group Cmcm (No. 63)
Unique sites:
Tb 0.0000 0.2296 0.2500 (multiplicity 4)
Pm 0.0000 0.3429 0.7500 (multiplicity 4)
Dy 0.2459 0.0000 0.0000 (multiplicity 8)
Th 0.0000 0.1559 0.7500 (multiplicity 4)

=====

This entry pairs a crystal structure of Tc3Os2 with its computed powder diffraction line list. Radiation: CuKα. Structure: DFT lattice parameters and positions (PBE).
Neutral-atom scattering factors, no anomalous dispersion.

Principal peaks in the range 2θ = 15–90°, by angle:
3.812 Å, rel. 17, (2 2 0); 2.341 Å, rel. 24, (4 0 0); 2.245 Å, rel. 37, (3 3 1); 2.235 Å, rel. 100, (1 5 1); 2.205 Å, rel. 25, (4 2 0); 2.129 Å, rel. 72, (2 0 2); 1.852 Å, rel. 37, (3 5 1); 1.620 Å, rel. 14, (5 3 1); 1.348 Å, rel. 18, (1 5 3); 1.282 Å, rel. 16, (6 2 2)

Cell and atoms:
Unit cell a=9.3648 b=13.1263 c=4.7818 alpha=90.00 beta=90.00 gamma=90.00
Space group Fdd2 (No. 43)
Unique sites:
Tc 0.0000 0.0000 0.0000 (multiplicity 8)
Tc 0.0507 0.1004 0.4789 (multiplicity 16)
Os 0.0316 0.2036 0.9544 (multiplicity 16)

=====

This entry pairs a crystal structure of ErTm5Bi6 with its computed powder diffraction line list. Radiation: CuKα. Structure: DFT lattice parameters and positions (PBE).
Neutral-atom scattering factors, no anomalous dispersion.

Principal peaks in the range 2θ = 15–90°, by angle:
3.620 Å, rel. 2, (2 0 0); 3.135 Å, rel. 100, (1 3 1); 2.217 Å, rel. 78, (2 0 2); 1.890 Å, rel. 1, (3 3 1); 1.810 Å, rel. 28, (4 0 0); 1.567 Å, rel. 13, (2 6 2); 1.438 Å, rel. 1, (4 0 2); 1.402 Å, rel. 37, (4 6 0); 1.280 Å, rel. 28, (5 3 1); 1.108 Å, rel. 9, (4 0 4)

Cell and atoms:
Unit cell a=7.6801 b=13.2991 c=7.6771 alpha=90.00 beta=109.47 gamma=90.00
Space group C2/m (No. 12)
Unique sites:
Er 0.0000 0.0000 0.0000 (multiplicity 2)
Tm 0.0000 0.1663 0.5000 (multiplicity 4)
Tm 0.0000 0.3332 0.0000 (multiplicity 4)
Tm 0.0000 0.5000 0.5000 (multiplicity 2)
Bi 0.2495 0.3330 0.7495 (multiplicity 8)
Bi 0.2493 0.5000 0.2501 (multiplicity 4)

=====

This entry pairs a crystal structure of SmGaSb2 with its computed powder diffraction line list. Radiation: CuKα. Structure: DFT lattice parameters and positions (PBE).
Neutral-atom scattering factors, no anomalous dispersion.

Principal peaks in the range 2θ = 15–90°, by angle:
3.451 Å, rel. 15, (0 4 1); 2.852 Å, rel. 100, (1 3 1); 2.791 Å, rel. 21, (0 8 0); 2.571 Å, rel. 24, (1 7 0); 2.539 Å, rel. 40, (1 5 1); 2.171 Å, rel. 14, (2 0 0); 1.838 Å, rel. 13, (1 11 0); 1.544 Å, rel. 13, (2 0 2); 1.409 Å, rel. 14, (1 11 2); 1.351 Å, rel. 16, (3 3 1)

Cell and atoms:
Unit cell a=4.3427 b=22.3253 c=4.3903 alpha=90.00 beta=90.00 gamma=90.00
Space group C222_1 (No. 20)
Unique sites:
Sm 0.0000 0.1382 0.2500 (multiplicity 4)
Ga 0.1581 0.0000 0.0000 (multiplicity 4)
Sb 0.0000 0.2496 0.7500 (multiplicity 4)
Sb 0.0000 0.4074 0.2500 (multiplicity 4)

=====

This entry pairs a crystal structure of CdRu7 with its computed powder diffraction line list. Radiation: CuKα. Structure: DFT lattice parameters and positions (PBE).
Neutral-atom scattering factors, no anomalous dispersion.

Principal peaks in the range 2θ = 15–90°, by angle:
2.241 Å, rel. 100, (2 2 2); 1.940 Å, rel. 48, (4 0 0); 1.372 Å, rel. 30, (4 4 0); 1.170 Å, rel. 36, (6 2 2); 1.120 Å, rel. 11, (4 4 4)

Cell and atoms:
Unit cell a=7.7620 b=7.7620 c=7.7620 alpha=90.00 beta=90.00 gamma=90.00
Space group Fm-3m (No. 225)
Unique sites:
Cd 0.0000 0.0000 0.0000 (multiplicity 4)
Ru 0.0000 0.0000 0.5000 (multiplicity 4)
Ru 0.0000 0.2500 0.2500 (multiplicity 24)

=====

This entry pairs a crystal structure of Sn2H2Cl3 with its computed powder diffraction line list. Radiation: CuKα. Structure: DFT lattice parameters and positions (PBE).
Neutral-atom scattering factors, no anomalous dispersion.

Principal peaks in the range 2θ = 15–90°, by angle:
4.660 Å, rel. 46, (0 1 -1); 4.502 Å, rel. 73, (1 -1 0); 3.951 Å, rel. 26, (1 0 -1); 3.049 Å, rel. 100, (1 1 0); 2.975 Å, rel. 64, (0 1 -2); 2.687 Å, rel. 54, (-1 2 1); 2.625 Å, rel. 25, (-1 1 2); 2.574 Å, rel. 41, (1 1 1); 2.438 Å, rel. 41, (2 -1 0); 1.809 Å, rel. 31, (1 0 3)

Cell and atoms:
Unit cell a=4.9001 b=6.3804 c=6.4260 alpha=95.88 beta=95.59 gamma=111.74
Space group P-1 (No. 2)
Unique sites:
Sn 0.1469 0.2561 0.1362 (multiplicity 2)
H 0.4803 0.9610 0.4480 (multiplicity 2)
Cl 0.1777 0.4077 0.7799 (multiplicity 2)
Cl 0.5000 0.0000 0.0000 (multiplicity 1)